Starting from a crystal structure in OQMD, relaxed with GGA-PBE, the powder diffraction line list of ZnGeSeO was computed for Cu Kα, 1.54184 Å.

Top 10 peaks for 10 to 80 degrees two-theta, by intensity:
2θ = 28.05°, I = 100, hkl 1 2 0
2θ = 44.54°, I = 74, hkl 3 2 0
2θ = 28.32°, I = 68, hkl 2 0 1
2θ = 32.03°, I = 63, hkl 1 2 1
2θ = 30.60°, I = 52, hkl 0 0 2
2θ = 23.78°, I = 46, hkl 2 0 0
2θ = 33.21°, I = 44, hkl 0 1 2
2θ = 55.30°, I = 38, hkl 1 2 3
2θ = 49.78°, I = 37, hkl 3 1 2
2θ = 31.10°, I = 35, hkl 2 1 1

Atomic structure:
Lattice parameters (Å, degrees): 7.484 7.030 5.843 90.00 90.00 90.00
Space group Pca2_1 (No. 29)
Inequivalent atoms, fractional coordinates:
Zn: 0.088 0.154 0.000
Ge: 0.116 0.602 0.902
Se: 0.086 0.131 0.585
O: 0.027 0.412 0.112